1.
For Tb2Pm2Y2In, a DFT-relaxed cell (GGA-PBE, Alexandria) gives the simulated powder diffraction line list in this record (Cu Kα X-rays).
Kinematic intensities with the Lorentz-polarization factor, no thermal factor.

Most intense lines, 2θ = 10–90°, by angle:
d/Å	2θ (°)	I_rel
2.898	30.85	100
2.860	31.27	93
2.523	35.58	66
2.437	36.88	31
1.753	52.18	44
1.525	60.73	27

Structural model:
```
Tb2Pm2Y2In
1.0
3.6049 0.0000 0.0000
-0.0006 4.8744 0.0000
-1.7905 -2.4210 12.3633
Tb Pm Y In
2 2 2 1
direct
0.0651 0.0653 0.1303
0.9349 0.9347 0.8697
0.2108 0.2111 0.4217
0.7892 0.7889 0.5783
0.3611 0.3604 0.7209
0.6389 0.6396 0.2791
0.5000 0.5000 0.0000
```



2.
For CeSmDyHo2, a DFT-relaxed cell (GGA-PBE, Alexandria) gives the simulated powder diffraction line list in this record (Cu Kα X-rays).
Kinematic intensities with the Lorentz-polarization factor, no thermal factor.

Most intense lines, 2θ = 10–90°, by angle:
d/Å	2θ (°)	I_rel
3.148	28.35	33
2.989	29.89	100
2.942	30.38	28
2.776	32.25	46
2.562	35.02	30
1.905	47.75	26

Structural model:
```
CeSmDyHo2
1.0
5.8840 0.0000 0.0000
0.0000 8.0548 0.0000
0.0000 0.0000 6.8411
Ce Sm Dy Ho
2 2 2 4
direct
0.0000 0.0000 0.0000
0.5000 0.0000 0.0000
0.2500 0.5000 0.1656
0.7500 0.5000 0.8344
0.2500 0.0000 0.4092
0.7500 0.0000 0.5908
0.2500 0.2994 0.6882
0.2500 0.7006 0.6882
0.7500 0.2994 0.3118
0.7500 0.7006 0.3118
```



3.
For ThSiNi5, a DFT-relaxed cell (GGA-PBE, Alexandria) gives the simulated powder diffraction line list in this record (Cu Kα X-rays).
Kinematic intensities with the Lorentz-polarization factor, no thermal factor.

Most intense lines, 2θ = 10–90°, by angle:
d/Å	2θ (°)	I_rel
3.858	23.05	39
2.354	38.23	33
2.250	40.08	100
2.216	40.72	23
2.096	43.17	21
1.383	67.76	20

Structural model:
```
ThSiNi5
1.0
7.8429 0.0000 0.0000
0.0000 4.9590 0.0000
0.0000 0.0000 9.8716
Th Si Ni
4 4 20
direct
0.2451 0.2500 0.0539
0.2549 0.7500 0.5539
0.7451 0.2500 0.4461
0.7549 0.7500 0.9461
0.1598 0.7500 0.8528
0.3402 0.2500 0.3528
0.6598 0.7500 0.6472
0.8402 0.2500 0.1472
0.0617 0.0087 0.2979
0.0617 0.4913 0.2979
0.0708 0.7500 0.0815
0.0978 0.2500 0.5167
0.1831 0.2500 0.7635
0.3169 0.7500 0.2635
0.4022 0.7500 0.0167
0.4292 0.2500 0.5815
0.4383 0.5087 0.7979
0.4383 0.9913 0.7979
0.5617 0.0087 0.2021
0.5617 0.4913 0.2021
0.5708 0.7500 0.4185
0.5978 0.2500 0.9833
0.6831 0.2500 0.7365
0.8169 0.7500 0.2365
0.9022 0.7500 0.4833
0.9292 0.2500 0.9185
0.9383 0.5087 0.7021
0.9383 0.9913 0.7021
```



4.
For Fe5Re, a DFT-relaxed cell (GGA-PBE, Alexandria) gives the simulated powder diffraction line list in this record (Cu Kα X-rays).
Kinematic intensities with the Lorentz-polarization factor, no thermal factor.

Most intense lines, 2θ = 10–90°, by angle:
d/Å	2θ (°)	I_rel
3.769	23.60	21
2.308	39.02	53
1.969	46.11	100
1.885	48.29	22
1.256	75.69	29
1.154	83.82	20

Structural model:
```
Fe5Re
1.0
0.0000 3.2645 3.2645
3.2645 0.0000 3.2645
3.2645 3.2645 0.0000
Fe Re
5 1
direct
0.0000 0.0000 0.0000
0.1223 0.6259 0.6259
0.6259 0.1223 0.6259
0.6259 0.6259 0.1223
0.6259 0.6259 0.6259
0.2500 0.2500 0.2500
```